1.
The following is a computed XRD peak list of CaPmPrZn. It was derived from the GGA-PBE geometry in Alexandria, using Cu Kα (weighted mean of Kα1 and Kα2).
Kinematic intensities with the Lorentz-polarization factor, no thermal factor.

The 12 most intense peaks (2θ = 15–90°), in order of rising 2θ:
| two_theta | d/Å | I/Imax | (hkl) |
| --- | --- | --- | --- |
| 26.3 | 3.394 | 25 | 1 0 1 |
| 28.6 | 3.118 | 10 | 0 0 3 |
| 31.1 | 2.874 | 100 | 1 0 2 |
| 34.8 | 2.576 | 43 | 1 1 0 |
| 38.0 | 2.369 | 10 | 1 0 3 |
| 38.5 | 2.338 | 9 | 0 0 4 |
| 45.7 | 1.986 | 11 | 1 1 3 |
| 50.1 | 1.821 | 15 | 2 0 0 |
| 52.9 | 1.731 | 14 | 1 1 4 |
| 55.2 | 1.664 | 9 | 1 0 5 |
| 60.1 | 1.538 | 30 | 2 1 2 |
| 64.9 | 1.437 | 8 | 2 0 4 |

Crystal structure
a = 3.643 Å, b = 3.643 Å, c = 9.353 Å
α = 90.00°, β = 90.00°, γ = 90.00°
Atoms (fractional coordinates):
Ca (0.000, 0.000, 0.000)
Pm (0.000, 0.000, 0.398)
Pr (0.500, 0.500, 0.678)
Zn (0.500, 0.500, 0.204)

=====

2.
The following is a computed XRD peak list of Ac4Pr7Y. It was derived from the GGA-PBE geometry in Alexandria, using Cu Kα (weighted mean of Kα1 and Kα2).
Kinematic intensities with the Lorentz-polarization factor, no thermal factor.

The 12 most intense peaks (2θ = 15–90°), in order of rising 2θ:
| two_theta | d/Å | I/Imax | (hkl) |
| --- | --- | --- | --- |
| 27.1 | 3.285 | 26 | 1 2 0 |
| 27.7 | 3.218 | 32 | 1 2 -1 |
| 29.0 | 3.078 | 50 | 0 0 3 |
| 29.9 | 2.985 | 100 | 1 -2 1 |
| 31.5 | 2.840 | 78 | -1 2 2 |
| 37.6 | 2.394 | 11 | 1 2 -3 |
| 47.6 | 1.911 | 26 | -3 2 1 |
| 47.7 | 1.907 | 13 | 0 4 0 |
| 50.9 | 1.793 | 17 | 1 -2 4 |
| 54.0 | 1.698 | 15 | -1 2 5 |
| 56.7 | 1.624 | 30 | -3 2 4 |
| 80.0 | 1.199 | 11 | -3 2 7 |

Crystal structure
a = 6.626 Å, b = 7.629 Å, c = 9.496 Å
α = 90.13°, β = 103.46°, γ = 90.06°
Atoms (fractional coordinates):
Ac (0.221, 0.241, 0.172)
Ac (0.272, 0.499, 0.829)
Ac (0.728, 0.501, 0.171)
Ac (0.779, 0.759, 0.828)
Pr (0.004, 0.755, 0.497)
Pr (0.228, 0.754, 0.175)
Pr (0.280, 0.000, 0.827)
Pr (0.500, 0.500, 0.500)
Pr (0.720, 0.000, 0.173)
Pr (0.772, 0.246, 0.825)
Pr (0.996, 0.245, 0.503)
Y (0.500, 0.000, 0.500)

=====

3.
The following is a computed XRD peak list of BaNiCl6. It was derived from the GGA-PBE geometry in Alexandria, using Cu Kα (weighted mean of Kα1 and Kα2).
Kinematic intensities with the Lorentz-polarization factor, no thermal factor.

The 12 most intense peaks (2θ = 15–90°), in order of rising 2θ:
| two_theta | d/Å | I/Imax | (hkl) |
| --- | --- | --- | --- |
| 16.8 | 5.279 | 100 | 1 0 0 |
| 18.6 | 4.775 | 77 | 0 1 -1 |
| 21.2 | 4.181 | 24 | -1 1 1 |
| 24.8 | 3.585 | 88 | 0 1 1 |
| 28.4 | 3.140 | 30 | 1 0 -2 |
| 30.5 | 2.935 | 25 | 2 -1 0 |
| 30.9 | 2.897 | 33 | 0 2 -1 |
| 33.2 | 2.700 | 29 | -1 2 1 |
| 34.8 | 2.581 | 23 | 2 -2 0 |
| 35.3 | 2.544 | 50 | 2 0 -2 |
| 37.1 | 2.425 | 43 | 1 1 1 |
| 48.1 | 1.892 | 29 | 2 -3 1 |

Crystal structure
a = 6.245 Å, b = 6.388 Å, c = 6.389 Å
α = 96.77°, β = 109.89°, γ = 111.65°
Atoms (fractional coordinates):
Ba (0.000, 0.000, 0.000)
Ni (0.000, 0.500, 0.500)
Cl (0.187, 0.290, 0.671)
Cl (0.216, 0.541, 0.279)
Cl (0.324, 0.832, 0.768)
Cl (0.676, 0.168, 0.232)
Cl (0.784, 0.459, 0.721)
Cl (0.813, 0.710, 0.329)